This entry pairs a crystal structure of MgAl2O4 with its computed powder X-ray diffraction pattern. Radiation: λ = 1.5418 Å (Cu Kα). Structure: DFT lattice parameters and positions (GGA-PBE).
Intensities are scaled so that the largest is 100.

Top 10 peaks for 10 to 90 degrees two-theta, in order of rising 2θ:
2theta, Rel. int.
18.7, 18
30.9, 22
31.1, 19
36.4, 32
36.6, 100
44.4, 75
58.8, 24
59.0, 17
64.4, 50
64.9, 52

Crystal structure
```
MgAl2O4
1.0
2.8743 1.6595 4.7412
-2.8743 1.6595 4.7412
0.0000 -3.3189 4.7412
Mg Al O
2 4 8
Direct
0.0000 0.0000 0.0000
0.3766 0.3766 0.3766
0.0022 0.0022 0.4882
0.0022 0.4882 0.0022
0.4882 0.0022 0.0022
0.6184 0.6184 0.6184
0.2282 0.7476 0.7476
0.2385 0.2385 0.2385
0.2461 0.2461 0.7867
0.2461 0.7867 0.2461
0.7476 0.2282 0.7476
0.7476 0.7476 0.2282
0.7528 0.7528 0.7528
0.7867 0.2461 0.2461
```